This entry pairs a crystal structure of Nb4Si7Ni4 with its computed PXRD pattern. Radiation: Cu Kα, 1.54184 Å. Structure: the PBE geometry in the Materials Project.
Neutral-atom scattering factors, no anomalous dispersion.

Lattice parameters (Å, degrees): 12.6494 12.6494 5.0234 90.00 90.00 90.00
Space group I4/mmm (No. 139)
Inequivalent atoms, fractional coordinates:
Nb (0.0000, 0.1914, 0.0000) (multiplicity 8)
Nb (0.1345, 0.1345, 0.5000) (multiplicity 8)
Si (0.0000, 0.0000, 0.2505) (multiplicity 4)
Si (0.0000, 0.2919, 0.5000) (multiplicity 8)
Si (0.0000, 0.4070, 0.0000) (multiplicity 8)
Si (0.2077, 0.2077, 0.0000) (multiplicity 8)
Ni (0.1481, 0.3519, 0.2500) (multiplicity 16)

Most intense lines, 2θ = 15–90°, low angle first:
2θ = 28.22°, intensity 14.2; 2θ = 31.09°, intensity 17.2; 2θ = 34.25°, intensity 14.4; 2θ = 39.90°, intensity 100.0; 2θ = 40.33°, intensity 25.2; 2θ = 42.50°, intensity 62.6; 2θ = 42.90°, intensity 28.5; 2θ = 63.89°, intensity 11.7; 2θ = 67.02°, intensity 21.4; 2θ = 67.62°, intensity 23.2